Calculated powder XRD pattern
Compound: Mn2InOs
Radiation: Cu Kα (weighted mean of Kα1 and Kα2)
Structure: a PBE-relaxed structure
No peak broadening, texture or thermal motion is included.

Crystal structure
Cell lengths 4.367, 4.367, 3.226 Å; angles 90.00, 90.00, 90.00 degrees
Atoms (fractional coordinates):
Mn 0.000 0.500 0.000
Mn 0.500 0.000 0.000
In 0.000 0.000 0.500
Os 0.500 0.500 0.500

Most intense lines, 2θ from 10° to 90°, sorted by position:
27.7 deg, d 3.226, I = 143
28.9 deg, d 3.088, I = 256
40.4 deg, d 2.231, I = 1000
41.4 deg, d 2.183, I = 469
50.5 deg, d 1.808, I = 117
57.1 deg, d 1.613, I = 88
59.9 deg, d 1.544, I = 152
72.9 deg, d 1.297, I = 168
74.8 deg, d 1.269, I = 312
87.5 deg, d 1.115, I = 106

---

Calculated powder XRD pattern
Compound: MnIn2Pb
Radiation: Cu Kα (weighted mean of Kα1 and Kα2)
Structure: a PBE-relaxed structure
No peak broadening, texture or thermal motion is included.

Crystal structure
Cell lengths 3.367, 5.435, 5.447 Å; angles 90.00, 90.00, 90.00 degrees
Atoms (fractional coordinates):
Mn 0.000 0.000 0.000
In 0.000 0.500 0.500
In 0.500 0.500 0.000
Pb 0.500 0.000 0.500

Most intense lines, 2θ from 10° to 90°, sorted by position:
16.3 deg, d 5.447, I = 142
23.1 deg, d 3.848, I = 127
32.9 deg, d 2.721, I = 609
35.4 deg, d 2.534, I = 1000
47.2 deg, d 1.924, I = 220
54.5 deg, d 1.683, I = 71
60.4 deg, d 1.532, I = 416
65.2 deg, d 1.432, I = 165
75.0 deg, d 1.267, I = 110
80.1 deg, d 1.199, I = 93

---

Calculated powder XRD pattern
Compound: MnIn2Pd3
Radiation: Cu Kα (weighted mean of Kα1 and Kα2)
Structure: a PBE-relaxed structure
No peak broadening, texture or thermal motion is included.

Crystal structure
Cell lengths 7.236, 7.236, 6.514 Å; angles 90.00, 90.00, 143.27 degrees
Atoms (fractional coordinates):
Mn 0.166 0.834 0.000
Mn 0.834 0.166 0.000
In 0.167 0.833 0.500
In 0.500 0.500 0.000
In 0.500 0.500 0.500
In 0.833 0.167 0.500
Pd 0.000 0.000 0.247
Pd 0.000 0.000 0.753
Pd 0.329 0.671 0.237
Pd 0.329 0.671 0.763
Pd 0.671 0.329 0.237
Pd 0.671 0.329 0.763

Most intense lines, 2θ from 10° to 90°, sorted by position:
30.9 deg, d 2.894, I = 27
39.3 deg, d 2.293, I = 1000
39.5 deg, d 2.280, I = 199
56.5 deg, d 1.629, I = 65
57.0 deg, d 1.615, I = 131
71.0 deg, d 1.327, I = 64
71.1 deg, d 1.325, I = 64
71.3 deg, d 1.323, I = 128
71.5 deg, d 1.319, I = 129
84.5 deg, d 1.147, I = 80

---

Calculated powder XRD pattern
Compound: PuMnIn
Radiation: Cu Kα (weighted mean of Kα1 and Kα2)
Structure: a PBE-relaxed structure
No peak broadening, texture or thermal motion is included.

Crystal structure
Cell lengths 6.571, 5.500, 5.361 Å; angles 74.44, 53.75, 51.82 degrees
Atoms (fractional coordinates):
Pu 0.184 0.184 0.816
Pu 0.816 0.816 0.184
Mn 0.250 0.250 0.250
Mn 0.750 0.750 0.750
In 0.332 0.668 0.332
In 0.668 0.332 0.668

Most intense lines, 2θ from 10° to 90°, sorted by position:
27.2 deg, d 3.283, I = 290
31.8 deg, d 2.813, I = 330
34.1 deg, d 2.632, I = 1000
34.8 deg, d 2.575, I = 540
37.6 deg, d 2.395, I = 260
42.3 deg, d 2.136, I = 523
44.1 deg, d 2.055, I = 226
58.1 deg, d 1.587, I = 221
59.9 deg, d 1.544, I = 261
60.9 deg, d 1.521, I = 251

---

Calculated powder XRD pattern
Compound: MnInRe
Radiation: Cu Kα (weighted mean of Kα1 and Kα2)
Structure: a PBE-relaxed structure
No peak broadening, texture or thermal motion is included.

Crystal structure
Cell lengths 7.075, 6.849, 2.837 Å; angles 82.75, 73.81, 23.44 degrees
Atoms (fractional coordinates):
Mn 0.000 0.000 0.000
In 0.326 0.326 0.674
Re 0.643 0.643 0.357

Most intense lines, 2θ from 10° to 90°, sorted by position:
13.3 deg, d 6.668, I = 272
26.7 deg, d 3.334, I = 135
35.0 deg, d 2.563, I = 167
38.0 deg, d 2.366, I = 299
40.0 deg, d 2.252, I = 1000
40.6 deg, d 2.223, I = 217
56.8 deg, d 1.620, I = 159
70.1 deg, d 1.343, I = 186
73.5 deg, d 1.289, I = 123
86.4 deg, d 1.126, I = 98

---

Calculated powder XRD pattern
Compound: MnInRh2
Radiation: Cu Kα (weighted mean of Kα1 and Kα2)
Structure: a PBE-relaxed structure
No peak broadening, texture or thermal motion is included.

Crystal structure
Cell lengths 3.144, 3.144, 6.282 Å; angles 90.00, 90.00, 90.00 degrees
Atoms (fractional coordinates):
Mn 0.000 0.000 0.000
In 0.000 0.000 0.500
Rh 0.500 0.500 0.234
Rh 0.500 0.500 0.766

Most intense lines, 2θ from 10° to 90°, sorted by position:
14.1 deg, d 6.282, I = 21
31.8 deg, d 2.812, I = 60
40.6 deg, d 2.222, I = 1000
43.2 deg, d 2.095, I = 21
58.8 deg, d 1.572, I = 160
60.8 deg, d 1.524, I = 24
68.4 deg, d 1.372, I = 14
73.9 deg, d 1.283, I = 312
82.7 deg, d 1.167, I = 16
87.9 deg, d 1.111, I = 99